Record 1
# CsK2AgGe
Computed powder diffraction line list, Cu Kα X-rays. Input: a cell relaxed with PBE.
Intensities are scaled so that the largest is 100.

The 12 most intense peaks (15 to 90 degrees two-theta), in order of rising 2θ:
2theta  d (Å)  I (rel.)
18.9  4.693  79
22.0  4.032  17
25.9  3.446  86
26.9  3.318  100
35.4  2.538  24
38.4  2.346  38
40.4  2.233  23
43.1  2.099  19
45.0  2.016  47
46.8  1.939  31
53.2  1.723  28
74.0  1.281  20

Atomic structure:
Cell: 6.636 6.636 5.077 Å, 90.00 90.00 90.00°
Fractional coordinates of all 5 atoms:
Cs1 0.000 0.000 0.000
K1 0.000 0.500 0.500
K2 0.500 0.000 0.500
Ag1 0.500 0.500 0.000
Ge1 0.500 0.500 0.500

Record 2
# Ti4InFe
Computed powder diffraction line list, Cu Kα X-rays. Input: a cell relaxed with PBE.
Intensities are scaled so that the largest is 100.

The 12 most intense peaks (15 to 90 degrees two-theta), in order of rising 2θ:
2theta  d (Å)  I (rel.)
16.6  5.338  15
23.4  3.809  30
31.7  2.824  20
35.5  2.527  62
36.2  2.484  57
38.4  2.346  44
38.7  2.326  100
40.9  2.205  45
53.6  1.708  15
54.4  1.688  13
56.9  1.618  16
62.7  1.482  13

Atomic structure:
Cell: 7.511 7.511 5.214 Å, 96.67 96.67 45.35°
Fractional coordinates of all 12 atoms:
Ti1 0.039 0.189 0.165
Ti2 0.189 0.039 0.665
Ti3 0.214 0.417 0.441
Ti4 0.417 0.214 0.941
Ti5 0.583 0.786 0.059
Ti6 0.786 0.583 0.559
Ti7 0.811 0.961 0.335
Ti8 0.961 0.811 0.835
In1 0.368 0.632 0.250
In2 0.632 0.368 0.750
Fe1 0.000 0.500 0.000
Fe2 0.500 0.000 0.500

Record 3
# AcPrNdTl
Computed powder diffraction line list, Cu Kα X-rays. Input: a cell relaxed with PBE.
Intensities are scaled so that the largest is 100.

The 12 most intense peaks (15 to 90 degrees two-theta), in order of rising 2θ:
2theta  d (Å)  I (rel.)
29.2  3.056  63
32.0  2.794  100
41.8  2.161  24
49.8  1.831  7
53.6  1.709  48
58.8  1.571  14
60.6  1.528  8
66.9  1.398  6
68.7  1.367  11
70.2  1.341  11
82.0  1.175  9
85.1  1.140  10

Atomic structure:
Cell: 5.661 5.661 6.112 Å, 122.58 122.58 65.36°
Fractional coordinates of all 4 atoms:
Ac1 0.000 0.000 0.000
Pr1 0.250 0.250 0.750
Nd1 0.750 0.750 0.250
Tl1 0.500 0.500 0.500